No. 1
The following is a calculated powder diffraction line list of K3UF7. It was derived from a structure optimized by DFT (GGA-PBE), using a wavelength of 1.5418 Å.
Kinematic intensities with the Lorentz-polarization factor, no thermal factor.

Main lines, low angle first (2θ from 5° to 70°):
hkl 1 1 2, 2θ 16.45, d = 5.389 Å, rel. 100.0; hkl 2 0 0, 2θ 18.91, d = 4.693 Å, rel. 42.9; hkl 2 2 0, 2θ 26.87, d = 3.318 Å, rel. 38.0; hkl 2 0 4, 2θ 27.10, d = 3.291 Å, rel. 62.4; hkl 1 3 2, 2θ 31.67, d = 2.825 Å, rel. 33.5; hkl 2 4 4, 2θ 47.60, d = 1.910 Å, rel. 37.0

Crystal structure
```
data_K3UF7
_cell_length_a 9.3850
_cell_length_b 9.3850
_cell_length_c 18.4645
_cell_angle_alpha 90.00
_cell_angle_beta 90.00
_cell_angle_gamma 90.00
_symmetry_space_group_name_H-M 'I 41/a'
_symmetry_Int_Tables_number 88
loop_
_symmetry_equiv_pos_as_xyz
'x,y,z'
'-x,-y,-z'
'-y+3/4,x+1/4,z+1/4'
'y+3/4,-x+1/4,-z+1/4'
'-x+1/2,-y,z+1/2'
'x+1/2,y,-z+1/2'
'y+3/4,-x+3/4,z+3/4'
'-y+3/4,x+3/4,-z+3/4'
'x+1/2,y+1/2,z+1/2'
'-x+1/2,-y+1/2,-z+1/2'
'-y+1/4,x+3/4,z+3/4'
'y+1/4,-x+3/4,-z+3/4'
'-x,-y+1/2,z'
'x,y+1/2,-z'
'y+1/4,-x+1/4,z+1/4'
'-y+1/4,x+1/4,-z+1/4'
loop_
_atom_site_label
_atom_site_type_symbol
_atom_site_fract_x
_atom_site_fract_y
_atom_site_fract_z
K1 K 0.0000 0.2500 0.1250
K2 K 0.0000 0.2500 0.6250
K3 K 0.2186 0.0120 0.4892
U1 U 0.0000 0.2500 0.3566
F1 F 0.0000 0.2500 0.4802
F2 F 0.0156 0.3914 0.2577
F3 F 0.0624 0.4754 0.3939
F4 F 0.0676 0.4721 0.8948
```

=====

No. 2
The following is a calculated powder diffraction line list of KY2F7. It was derived from a structure optimized by DFT (GGA-PBE), using a wavelength of 1.5418 Å.
Kinematic intensities with the Lorentz-polarization factor, no thermal factor.

Main lines, low angle first (2θ from 5° to 70°):
hkl 4 0 -3, 2θ 26.40, d = 3.376 Å, rel. 53.3; hkl 2 2 0, 2θ 26.63, d = 3.347 Å, rel. 100.0; hkl 0 0 3, 2θ 27.09, d = 3.292 Å, rel. 43.2; hkl 6 2 -3, 2θ 43.57, d = 2.077 Å, rel. 41.7; hkl 2 2 3, 2θ 44.46, d = 2.038 Å, rel. 39.8; hkl 4 4 -3, 2θ 52.64, d = 1.739 Å, rel. 33.1

Crystal structure
```
data_KY2F7
_cell_length_a 14.5154
_cell_length_b 8.1139
_cell_length_c 12.1014
_cell_angle_alpha 90.00
_cell_angle_beta 125.31
_cell_angle_gamma 90.00
_symmetry_space_group_name_H-M 'C 1 2/m 1'
_symmetry_Int_Tables_number 12
_symmetry_space_group_name_Hall '-C 2y'
loop_
_atom_site_label
_atom_site_type_symbol
_atom_site_fract_x
_atom_site_fract_y
_atom_site_fract_z
K1 K 0.2317 0.0000 0.1551
K2 K 0.2384 0.5000 0.4806
Y1 Y 0.0000 0.2596 0.5000
Y2 Y 0.0026 0.2376 0.1811
Y3 Y 0.2420 0.0000 0.8206
F1 F 0.0000 0.1789 0.0000
F2 F 0.0058 0.5000 0.2316
F3 F 0.1009 0.2322 0.4153
F4 F 0.1041 0.0000 0.5871
F5 F 0.1054 0.0000 0.2485
F6 F 0.1059 0.5000 0.5764
F7 F 0.1126 0.0000 0.8836
F8 F 0.1178 0.2387 0.7366
F9 F 0.1613 0.3341 0.0010
F10 F 0.1733 0.3280 0.2401
```

=====

No. 3
The following is a calculated powder diffraction line list of KY3F10. It was derived from a structure optimized by DFT (GGA-PBE), using a wavelength of 1.5418 Å.
Kinematic intensities with the Lorentz-polarization factor, no thermal factor.

Main lines, low angle first (2θ from 5° to 70°):
hkl 2 0 0, 2θ 15.13, d = 5.858 Å, rel. 15.0; hkl 2 2 0, 2θ 21.45, d = 4.142 Å, rel. 18.0; hkl 2 2 2, 2θ 26.35, d = 3.382 Å, rel. 100.0; hkl 4 0 0, 2θ 30.52, d = 2.929 Å, rel. 34.0; hkl 4 4 0, 2θ 43.71, d = 2.071 Å, rel. 54.6; hkl 6 2 2, 2θ 51.76, d = 1.766 Å, rel. 60.5

Crystal structure
```
data_KY3F10
_cell_length_a 11.7154
_cell_length_b 11.7154
_cell_length_c 11.7154
_cell_angle_alpha 90.00
_cell_angle_beta 90.00
_cell_angle_gamma 90.00
_symmetry_space_group_name_H-M 'F m -3 m'
_symmetry_Int_Tables_number 225
_symmetry_space_group_name_Hall '-F 4 2 3'
loop_
_atom_site_label
_atom_site_type_symbol
_atom_site_fract_x
_atom_site_fract_y
_atom_site_fract_z
K1 K 0.2500 0.2500 0.2500
Y1 Y 0.0000 0.0000 0.2404
F1 F 0.0000 0.1649 0.3351
F2 F 0.1115 0.1115 0.1115
```

=====

No. 4
The following is a calculated powder diffraction line list of K3YF6. It was derived from a structure optimized by DFT (GGA-PBE), using a wavelength of 1.5418 Å.
Kinematic intensities with the Lorentz-polarization factor, no thermal factor.

Main lines, low angle first (2θ from 5° to 70°):
hkl 0 1 1, 2θ 16.46, d = 5.384 Å, rel. 54.2; hkl 0 2 0, 2θ 26.79, d = 3.327 Å, rel. 42.8; hkl 1 1 1, 2θ 27.29, d = 3.268 Å, rel. 100.0; hkl 1 1 -3, 2θ 27.58, d = 3.235 Å, rel. 95.4; hkl 2 2 -2, 2θ 39.03, d = 2.308 Å, rel. 65.2; hkl 2 0 -6, 2θ 49.26, d = 1.850 Å, rel. 43.5

Crystal structure
```
data_K3YF6
_cell_length_a 6.4070
_cell_length_b 6.6546
_cell_length_c 11.1059
_cell_angle_alpha 90.00
_cell_angle_beta 124.41
_cell_angle_gamma 90.00
_symmetry_space_group_name_H-M 'P 1 21/c 1'
_symmetry_Int_Tables_number 14
_symmetry_space_group_name_Hall '-P 2ybc'
loop_
_atom_site_label
_atom_site_type_symbol
_atom_site_fract_x
_atom_site_fract_y
_atom_site_fract_z
K1 K 0.0000 0.0000 0.0000
K2 K 0.2273 0.0511 0.7433
Y1 Y 0.5000 0.0000 0.5000
F1 F 0.1712 0.1767 0.4505
F2 F 0.2561 0.7308 0.4252
F3 F 0.3938 0.0626 0.2772
```